No. 1
Diffraction record for ErGa3Pt. The powder XRD pattern is calculated, not measured: it uses DFT lattice parameters and positions (GGA-PBE) and Cu Ka.
Lines closer than 0.1° are merged.

Largest 10 diffraction maxima, by angle, 2θ = 10–80°:
(hkl), d (Å), 2θ (°), I_rel
0 1 1, 3.913, 22.7, 18.5
2 0 1, 3.847, 23.1, 19.2
2 1 0, 2.935, 30.5, 22.5
1 1 3, 2.606, 34.4, 100.0
2 1 2, 2.586, 34.7, 35.3
2 0 4, 2.273, 39.7, 14.8
3 1 1, 2.245, 40.2, 52.7
0 2 0, 2.096, 43.2, 38.9
4 1 4, 1.529, 60.6, 14.2
1 3 3, 1.289, 73.5, 14.3

Cell: 8.221 4.192 10.912 Å, 90.00 90.00 90.00°
Sites, in units of the cell vectors:
Er 0.197 0.250 0.014
Er 0.303 0.750 0.514
Er 0.697 0.250 0.486
Er 0.803 0.750 0.986
Ga 0.071 0.250 0.591
Ga 0.102 0.750 0.823
Ga 0.137 0.750 0.208
Ga 0.363 0.250 0.708
Ga 0.398 0.250 0.323
Ga 0.429 0.750 0.091
Ga 0.571 0.250 0.909
Ga 0.602 0.750 0.677
Ga 0.637 0.750 0.292
Ga 0.863 0.250 0.792
Ga 0.898 0.250 0.177
Ga 0.929 0.750 0.409
Pt 0.095 0.250 0.353
Pt 0.405 0.750 0.853
Pt 0.595 0.250 0.147
Pt 0.905 0.750 0.647

No. 2
Diffraction record for MgPaInO6. The powder XRD pattern is calculated, not measured: it uses DFT lattice parameters and positions (GGA-PBE) and Cu Ka.
Lines closer than 0.1° are merged.

Largest 10 diffraction maxima, by angle, 2θ = 10–80°:
(hkl), d (Å), 2θ (°), I_rel
1 0 0, 4.699, 18.9, 34.9
1 0 1, 3.341, 26.7, 100.0
1 1 0, 2.713, 33.0, 31.0
1 0 2, 2.120, 42.6, 9.4
2 0 1, 2.106, 42.9, 28.4
2 -1 2, 1.787, 51.1, 30.5
2 1 1, 1.664, 55.2, 27.3
3 0 0, 1.566, 59.0, 11.8
1 0 3, 1.501, 61.8, 9.7
4 -1 1, 1.257, 75.7, 10.8

Cell: 5.426 5.426 4.752 Å, 90.00 90.00 120.00°
Sites, in units of the cell vectors:
Mg 0.000 0.000 0.000
Pa 0.667 0.333 0.500
In 0.333 0.667 0.000
O 0.331 0.007 0.239
O 0.331 0.323 0.761
O 0.677 0.007 0.761
O 0.677 0.669 0.239
O 0.993 0.323 0.239
O 0.993 0.669 0.761